[1]
The following is a theoretical XRD peak list of KGe4Rh6. It was derived from a crystal structure in Alexandria, relaxed with GGA-PBE, using Cu Kα.
No peak broadening, texture or thermal motion is included.

Atomic structure:
```
data_KGe4Rh6
_cell_length_a 7.2980
_cell_length_b 7.2980
_cell_length_c 3.8433
_cell_angle_alpha 90.00
_cell_angle_beta 90.00
_cell_angle_gamma 120.00
_space_group_name_H-M_alt 'P -6 m 2'
_space_group_IT_number 187
_space_group_name_Hall 'P -6 2'
loop_
_atom_site_label
_atom_site_fract_x
_atom_site_fract_y
_atom_site_fract_z
K1 0.0000 0.0000 0.0000
Ge1 0.3333 0.6667 0.0000
Ge2 0.3976 0.1988 0.5000
Rh1 0.2018 0.4037 0.5000
Rh2 0.5340 0.0680 0.0000
```

Peak list (6 most intense, 5 to 70 degrees two-theta, low angle first)
| hkl | Position (°2θ) | d (Å) | I_rel |
| --- | --- | --- | --- |
| 1 0 0 | 14.01 | 6.320 | 426 |
| 2 0 1 | 36.82 | 2.441 | 1000 |
| 2 1 0 | 37.65 | 2.389 | 317 |
| 2 1 1 | 44.66 | 2.029 | 839 |
| 0 0 2 | 47.30 | 1.922 | 292 |
| 2 2 0 | 49.99 | 1.825 | 249 |

[2]
The following is a theoretical XRD peak list of K2GeS3. It was derived from a crystal structure in Alexandria, relaxed with GGA-PBE, using Cu Kα.
No peak broadening, texture or thermal motion is included.

Atomic structure:
```
data_K2GeS3
_cell_length_a 6.756
_cell_length_b 13.726
_cell_length_c 15.149
_cell_angle_alpha 90.00
_cell_angle_beta 90.00
_cell_angle_gamma 90.00
_space_group_name_H-M_alt 'C m c e'
_space_group_IT_number 64
_space_group_name_Hall '-C 2ac 2'
loop_
_atom_site_label
_atom_site_fract_x
_atom_site_fract_y
_atom_site_fract_z
K1 0.000 0.050 0.147
K2 0.000 0.142 0.564
Ge1 0.000 0.248 0.834
S1 0.000 0.095 0.351
S2 0.000 0.157 0.952
S3 0.250 0.178 0.750
```

Peak list (6 most intense, 5 to 70 degrees two-theta, low angle first)
| hkl | Position (°2θ) | d (Å) | I_rel |
| --- | --- | --- | --- |
| 0 2 0 | 12.90 | 6.863 | 470 |
| 1 1 2 | 18.75 | 4.733 | 644 |
| 2 0 0 | 26.35 | 3.382 | 1000 |
| 0 4 1 | 26.64 | 3.347 | 331 |
| 1 1 4 | 27.77 | 3.212 | 325 |
| 0 2 5 | 32.30 | 2.772 | 420 |

[3]
The following is a theoretical XRD peak list of K2GeSeS. It was derived from a crystal structure in Alexandria, relaxed with GGA-PBE, using Cu Kα.
No peak broadening, texture or thermal motion is included.

Atomic structure:
```
data_K2GeSeS
_cell_length_a 7.288
_cell_length_b 4.122
_cell_length_c 11.402
_cell_angle_alpha 90.00
_cell_angle_beta 106.47
_cell_angle_gamma 90.00
_space_group_name_H-M_alt 'P 1 21/m 1'
_space_group_IT_number 11
loop_
_space_group_symop_operation_xyz
'x,y,z'
'-x,-y,-z'
'-x,y+1/2,-z'
'x,-y+1/2,z'
loop_
_atom_site_label
_atom_site_fract_x
_atom_site_fract_y
_atom_site_fract_z
K1 0.179 0.250 0.390
K2 0.232 0.750 0.016
Ge1 0.322 0.250 0.782
Se1 0.319 0.750 0.638
S1 0.026 0.250 0.813
```

Peak list (6 most intense, 5 to 70 degrees two-theta, low angle first)
| hkl | Position (°2θ) | d (Å) | I_rel |
| --- | --- | --- | --- |
| 1 0 -1 | 12.96 | 6.833 | 529 |
| 1 0 1 | 16.88 | 5.252 | 655 |
| 2 0 -1 | 24.44 | 3.642 | 399 |
| 2 0 0 | 25.49 | 3.494 | 309 |
| 0 1 2 | 27.09 | 3.291 | 1000 |
| 0 1 3 | 32.80 | 2.730 | 388 |

[4]
The following is a theoretical XRD peak list of K2SnGeS4. It was derived from a crystal structure in Alexandria, relaxed with GGA-PBE, using Cu Kα.
No peak broadening, texture or thermal motion is included.

Atomic structure:
```
data_K2SnGeS4
_cell_length_a 9.585
_cell_length_b 8.244
_cell_length_c 6.400
_cell_angle_alpha 90.00
_cell_angle_beta 90.00
_cell_angle_gamma 90.00
_space_group_name_H-M_alt 'P m n 21'
_space_group_IT_number 31
loop_
_space_group_symop_operation_xyz
'x,y,z'
'-x+1/2,-y,z+1/2'
'-x,y,z'
'x+1/2,-y,z+1/2'
loop_
_atom_site_label
_atom_site_fract_x
_atom_site_fract_y
_atom_site_fract_z
K1 0.246 0.168 0.000
Sn1 0.000 0.685 0.018
Ge1 0.000 0.356 0.550
S1 0.000 0.394 0.904
S2 0.000 0.611 0.414
S3 0.197 0.220 0.487
```

Peak list (6 most intense, 5 to 70 degrees two-theta, low angle first)
| hkl | Position (°2θ) | d (Å) | I_rel |
| --- | --- | --- | --- |
| 0 1 1 | 17.54 | 5.056 | 569 |
| 2 1 0 | 21.45 | 4.143 | 813 |
| 0 2 1 | 25.64 | 3.474 | 1000 |
| 0 0 2 | 27.88 | 3.200 | 667 |
| 0 2 2 | 35.47 | 2.531 | 474 |
| 2 3 0 | 37.73 | 2.384 | 475 |

[5]
The following is a theoretical XRD peak list of KYGeS4. It was derived from a crystal structure in Alexandria, relaxed with GGA-PBE, using Cu Kα.
No peak broadening, texture or thermal motion is included.

Atomic structure:
```
data_KYGeS4
_cell_length_a 6.556
_cell_length_b 6.708
_cell_length_c 8.775
_cell_angle_alpha 90.00
_cell_angle_beta 107.29
_cell_angle_gamma 90.00
_space_group_name_H-M_alt 'P 1 21 1'
_space_group_IT_number 4
loop_
_space_group_symop_operation_xyz
'x,y,z'
'-x,y+1/2,-z'
loop_
_atom_site_label
_atom_site_fract_x
_atom_site_fract_y
_atom_site_fract_z
K1 0.232 0.000 0.435
Y1 0.272 0.019 0.950
Ge1 0.273 0.482 0.172
S1 0.064 0.412 0.927
S2 0.069 0.481 0.331
S3 0.475 0.746 0.782
S4 0.480 0.753 0.198
```

Peak list (6 most intense, 5 to 70 degrees two-theta, low angle first)
| hkl | Position (°2θ) | d (Å) | I_rel |
| --- | --- | --- | --- |
| 0 0 1 | 10.56 | 8.378 | 1000 |
| 0 1 1 | 16.93 | 5.236 | 450 |
| 0 2 0 | 26.58 | 3.354 | 302 |
| 1 1 2 | 31.94 | 2.802 | 427 |
| 2 1 -2 | 33.03 | 2.712 | 387 |
| 2 2 0 | 39.38 | 2.288 | 309 |

[6]
The following is a theoretical XRD peak list of K2ScGeTe4. It was derived from a crystal structure in Alexandria, relaxed with GGA-PBE, using Cu Kα.
No peak broadening, texture or thermal motion is included.

Atomic structure:
```
data_K2ScGeTe4
_cell_length_a 8.745
_cell_length_b 9.469
_cell_length_c 12.814
_cell_angle_alpha 90.00
_cell_angle_beta 90.00
_cell_angle_gamma 90.00
_space_group_name_H-M_alt 'I m m a'
_space_group_IT_number 74
_space_group_name_Hall '-I 2b 2'
loop_
_atom_site_label
_atom_site_fract_x
_atom_site_fract_y
_atom_site_fract_z
K1 0.000 0.000 0.000
K2 0.250 0.250 0.250
Sc1 0.250 0.250 0.750
Ge1 0.000 0.000 0.500
Te1 0.000 0.036 0.734
Te2 0.217 0.250 0.522
```

Peak list (6 most intense, 5 to 70 degrees two-theta, low angle first)
| hkl | Position (°2θ) | d (Å) | I_rel |
| --- | --- | --- | --- |
| 1 0 1 | 12.25 | 7.223 | 122 |
| 0 2 2 | 23.36 | 3.807 | 155 |
| 2 0 2 | 24.65 | 3.612 | 140 |
| 2 2 0 | 27.80 | 3.209 | 1000 |
| 0 4 0 | 38.01 | 2.367 | 122 |
| 2 2 4 | 39.74 | 2.268 | 429 |

[7]
The following is a theoretical XRD peak list of K2Ge2Se5. It was derived from a crystal structure in Alexandria, relaxed with GGA-PBE, using Cu Kα.
No peak broadening, texture or thermal motion is included.

Atomic structure:
```
data_K2Ge2Se5
_cell_length_a 10.075
_cell_length_b 12.045
_cell_length_c 10.278
_cell_angle_alpha 90.00
_cell_angle_beta 91.10
_cell_angle_gamma 90.00
_space_group_name_H-M_alt 'P 1 21/m 1'
_space_group_IT_number 11
loop_
_space_group_symop_operation_xyz
'x,y,z'
'-x,-y,-z'
'-x,y+1/2,-z'
'x,-y+1/2,z'
loop_
_atom_site_label
_atom_site_fract_x
_atom_site_fract_y
_atom_site_fract_z
K1 0.056 0.250 0.086
K2 0.351 0.004 0.839
K3 0.414 0.250 0.409
Ge1 0.083 0.250 0.687
Ge2 0.198 0.750 0.565
Ge3 0.242 0.590 0.244
Se1 0.004 0.587 0.206
Se2 0.039 0.250 0.458
Se3 0.254 0.750 0.784
Se4 0.297 0.586 0.474
Se5 0.310 0.250 0.719
Se6 0.326 0.071 0.155
Se7 0.339 0.750 0.140
```

Peak list (6 most intense, 5 to 70 degrees two-theta, low angle first)
| hkl | Position (°2θ) | d (Å) | I_rel |
| --- | --- | --- | --- |
| 0 1 1 | 11.32 | 7.818 | 578 |
| 1 2 -1 | 19.14 | 4.636 | 693 |
| 1 3 -1 | 25.35 | 3.514 | 1000 |
| 0 0 3 | 26.01 | 3.425 | 636 |
| 3 0 0 | 26.55 | 3.358 | 769 |
| 4 3 -1 | 43.17 | 2.096 | 697 |

[8]
The following is a theoretical XRD peak list of KGe3Se. It was derived from a crystal structure in Alexandria, relaxed with GGA-PBE, using Cu Kα.
No peak broadening, texture or thermal motion is included.

Atomic structure:
```
data_KGe3Se
_cell_length_a 5.321
_cell_length_b 5.321
_cell_length_c 5.321
_cell_angle_alpha 90.00
_cell_angle_beta 90.00
_cell_angle_gamma 90.00
_space_group_name_H-M_alt 'P m -3 m'
_space_group_IT_number 221
_space_group_name_Hall '-P 4 2 3'
loop_
_atom_site_label
_atom_site_fract_x
_atom_site_fract_y
_atom_site_fract_z
K1 0.000 0.000 0.000
Ge1 0.000 0.500 0.500
Se1 0.500 0.500 0.500
```

Peak list (6 most intense, 5 to 70 degrees two-theta, low angle first)
| hkl | Position (°2θ) | d (Å) | I_rel |
| --- | --- | --- | --- |
| 1 0 0 | 16.66 | 5.321 | 608 |
| 1 1 1 | 29.07 | 3.072 | 579 |
| 2 0 0 | 33.69 | 2.660 | 1000 |
| 2 1 0 | 37.81 | 2.379 | 320 |
| 2 2 0 | 48.39 | 1.881 | 701 |
| 3 1 1 | 57.44 | 1.604 | 238 |